Computed PXRD pattern of CsTlVF6 for Cu Kα, from a crystal structure in Alexandria, relaxed with PBE+U.
Kinematic intensities with the Lorentz-polarization factor, no thermal factor.

Most intense lines, 10 to 90 degrees two-theta, by angle:
2theta  Rel. int.
16.48  12
23.62  18
23.82  100
28.53  22
29.19  41
34.31  13
37.46  33
37.77  18
45.23  15
48.58  13

Cell: 10.5229 6.2564 5.2281 Å, 90.00 91.10 90.00°
Space group Cm (No. 8)
Asymmetric unit:
Cs 0.0000 0.0000 0.0000
Tl 0.3272 0.0000 0.5514
V 0.1573 0.5000 0.3446
F 0.0253 0.5000 0.1061
F 0.0687 0.2815 0.5234
F 0.2448 0.2797 0.1659
F 0.2876 0.5000 0.5854